No. 1
For LaTb2In3CuAg2, a crystal structure in OQMD, relaxed with GGA-PBE gives the simulated powder diffraction line list in this record (Cu Kα, 1.54184 Å).

Peak list (12 most intense, 2θ = 10–90°, by angle)
31.95 deg, rel. 100, (1 0 2)
34.61 deg, rel. 68, (1 2 2)
34.68 deg, rel. 35, (0 5 1)
34.80 deg, rel. 16, (0 1 3)
39.46 deg, rel. 11, (0 6 0)
39.60 deg, rel. 21, (0 3 3)
41.65 deg, rel. 15, (1 5 1)
45.61 deg, rel. 21, (2 0 0)
53.60 deg, rel. 11, (1 2 4)
58.57 deg, rel. 22, (2 5 1)
61.96 deg, rel. 11, (2 3 3)
63.73 deg, rel. 17, (1 8 2)

Atomic structure:
```
data_LaTb2In3CuAg2
_chemical_formula_sum 'La2 Tb4 In6 Cu2 Ag4'
_space_group_name_H-M_alt 'A m m 2'
_space_group_IT_number 38
_cell_length_a 3.9779
_cell_length_b 13.7024
_cell_length_c 7.8745
_cell_angle_alpha 90.00
_cell_angle_beta 90.00
_cell_angle_gamma 90.00
loop_
_space_group_symop_operation_xyz
'x,y,z'
'-x,-y,z'
'-x,y,z'
'x,-y,z'
'x,y+1/2,z+1/2'
'-x,-y+1/2,z+1/2'
'-x,y+1/2,z+1/2'
'x,-y+1/2,z+1/2'
loop_
_atom_site_label
_atom_site_type_symbol
_atom_site_fract_x
_atom_site_fract_y
_atom_site_fract_z
La1 La 0.0000 0.0000 0.0000
Tb1 Tb 0.0000 0.2002 0.3955
In1 In 0.5000 0.0000 0.3500
In2 In 0.5000 0.1263 0.7157
Cu1 Cu 0.0000 0.0000 0.5919
Ag1 Ag 0.5000 0.1714 0.0966
```

***

No. 2
For Fe3PdPt4, a crystal structure in OQMD, relaxed with GGA-PBE gives the simulated powder diffraction line list in this record (Cu Kα, 1.54184 Å).

Peak list (12 most intense, 2θ = 10–90°, by angle)
23.31 deg, rel. 21, (2 0 0)
32.60 deg, rel. 19, (0 2 1)
40.46 deg, rel. 100, (2 2 1)
46.44 deg, rel. 17, (0 4 0)
47.09 deg, rel. 16, (0 0 2)
47.66 deg, rel. 15, (4 0 0)
68.29 deg, rel. 11, (0 4 2)
68.73 deg, rel. 10, (4 4 0)
82.00 deg, rel. 13, (2 6 1)
82.97 deg, rel. 12, (2 2 3)
83.80 deg, rel. 11, (6 2 1)
87.51 deg, rel. 11, (4 4 2)

Atomic structure:
```
data_Fe3PdPt4
_chemical_formula_sum 'Fe6 Pd2 Pt8'
_space_group_name_H-M_alt 'C m m m'
_space_group_IT_number 65
_space_group_name_Hall '-C 2 2'
_cell_length_a 7.6331
_cell_length_b 7.8215
_cell_length_c 3.8594
_cell_angle_alpha 90.00
_cell_angle_beta 90.00
_cell_angle_gamma 90.00
loop_
_atom_site_label
_atom_site_type_symbol
_atom_site_fract_x
_atom_site_fract_y
_atom_site_fract_z
Fe1 Fe 0.0000 0.0000 0.0000
Fe2 Fe 0.0000 0.2494 0.5000
Pd1 Pd 0.0000 0.5000 0.0000
Pt1 Pt 0.2360 0.0000 0.5000
Pt2 Pt 0.2500 0.2500 0.0000
```

***

No. 3
For Na6P4W, a crystal structure in OQMD, relaxed with GGA-PBE gives the simulated powder diffraction line list in this record (Cu Kα, 1.54184 Å).

Peak list (12 most intense, 2θ = 10–90°, by angle)
11.23 deg, rel. 62, (1 0 0)
16.77 deg, rel. 100, (1 0 1)
19.51 deg, rel. 33, (1 1 0)
22.56 deg, rel. 16, (2 0 0)
25.84 deg, rel. 14, (2 0 1)
27.48 deg, rel. 15, (1 0 2)
31.90 deg, rel. 25, (1 1 2)
32.58 deg, rel. 53, (2 1 1)
33.92 deg, rel. 14, (2 0 2)
39.62 deg, rel. 53, (2 2 0)
43.29 deg, rel. 15, (3 1 1)
49.06 deg, rel. 17, (2 1 3)

Atomic structure:
```
data_Na6P4W
_chemical_formula_sum 'Na12 P8 W2'
_space_group_name_H-M_alt 'P 63 m c'
_space_group_IT_number 186
_space_group_name_Hall 'P 6c -2c'
_cell_length_a 9.1011
_cell_length_b 9.1011
_cell_length_c 7.1249
_cell_angle_alpha 90.00
_cell_angle_beta 90.00
_cell_angle_gamma 120.00
loop_
_atom_site_label
_atom_site_type_symbol
_atom_site_fract_x
_atom_site_fract_y
_atom_site_fract_z
Na1 Na 0.0644 0.5322 0.0000
Na2 Na 0.1469 0.2938 0.6769
P1 P 0.1935 0.3869 0.2853
P2 P 0.3333 0.6667 0.7122
W1 W 0.3333 0.6667 0.3879
```

***

No. 4
For Nd4CI3F2, a crystal structure in OQMD, relaxed with GGA-PBE gives the simulated powder diffraction line list in this record (Cu Kα, 1.54184 Å).

Peak list (12 most intense, 2θ = 10–90°, by angle)
10.31 deg, rel. 84, (0 0 1)
23.33 deg, rel. 30, (4 0 1)
25.56 deg, rel. 25, (1 1 1)
28.45 deg, rel. 25, (3 1 -1)
29.87 deg, rel. 45, (6 0 0)
30.83 deg, rel. 100, (1 1 -2)
33.90 deg, rel. 20, (2 0 3)
34.56 deg, rel. 29, (5 1 -1)
35.35 deg, rel. 21, (4 0 -3)
41.39 deg, rel. 28, (5 1 2)
46.01 deg, rel. 22, (0 2 0)
55.80 deg, rel. 21, (6 2 0)

Atomic structure:
```
data_Nd4CI3F2
_chemical_formula_sum 'Nd8 C2 I6 F4'
_space_group_name_H-M_alt 'C 1 2/m 1'
_space_group_IT_number 12
_cell_length_a 18.0546
_cell_length_b 3.9452
_cell_length_c 8.6322
_cell_angle_alpha 90.00
_cell_angle_beta 96.17
_cell_angle_gamma 90.00
loop_
_space_group_symop_operation_xyz
'x,y,z'
'-x,-y,-z'
'-x,y,-z'
'x,-y,z'
'x+1/2,y+1/2,z'
'-x+1/2,-y+1/2,-z'
'-x+1/2,y+1/2,-z'
'x+1/2,-y+1/2,z'
loop_
_atom_site_label
_atom_site_type_symbol
_atom_site_fract_x
_atom_site_fract_y
_atom_site_fract_z
Nd1 Nd 0.0016 0.0000 0.3026
Nd2 Nd 0.1380 0.5000 0.5623
C1 C 0.0000 0.5000 0.5000
I1 I 0.0000 0.5000 0.0000
I2 I 0.1802 0.0000 0.2904
F1 F 0.1341 0.0000 0.7244
```

***

No. 5
For PrErB4, a crystal structure in OQMD, relaxed with GGA-PBE gives the simulated powder diffraction line list in this record (Cu Kα, 1.54184 Å).

Peak list (12 most intense, 2θ = 10–90°, by angle)
22.15 deg, rel. 49, (0 0 2)
31.27 deg, rel. 72, (1 0 0)
38.65 deg, rel. 100, (1 0 2)
45.20 deg, rel. 11, (0 0 4)
55.65 deg, rel. 19, (1 1 0)
55.98 deg, rel. 29, (1 0 4)
60.63 deg, rel. 21, (1 1 2)
65.23 deg, rel. 9, (2 0 0)
69.81 deg, rel. 17, (2 0 2)
74.40 deg, rel. 15, (1 1 4)
79.03 deg, rel. 12, (1 0 6)
82.90 deg, rel. 9, (2 0 4)

Atomic structure:
```
data_PrErB4
_chemical_formula_sum 'Pr1 Er1 B4'
_space_group_name_H-M_alt 'P 6/m m m'
_space_group_IT_number 191
_space_group_name_Hall '-P 6 2'
_cell_length_a 3.3032
_cell_length_b 3.3032
_cell_length_c 8.0249
_cell_angle_alpha 90.00
_cell_angle_beta 90.00
_cell_angle_gamma 120.00
loop_
_atom_site_label
_atom_site_type_symbol
_atom_site_fract_x
_atom_site_fract_y
_atom_site_fract_z
Pr1 Pr 0.0000 0.0000 0.0000
Er1 Er 0.0000 0.0000 0.5000
B1 B 0.3333 0.6667 0.2669
```

***

No. 6
For Na2ZrTeSe2, a crystal structure in OQMD, relaxed with GGA-PBE gives the simulated powder diffraction line list in this record (Cu Kα, 1.54184 Å).

Peak list (12 most intense, 2θ = 10–90°, by angle)
12.51 deg, rel. 21, (0 0 1)
16.53 deg, rel. 12, (1 1 -1)
26.06 deg, rel. 10, (1 3 -1)
30.10 deg, rel. 100, (1 3 1)
42.15 deg, rel. 23, (1 3 -3)
42.86 deg, rel. 12, (2 0 2)
43.24 deg, rel. 11, (0 6 0)
44.04 deg, rel. 22, (3 3 -1)
51.66 deg, rel. 7, (0 0 4)
53.61 deg, rel. 11, (2 6 -2)
54.86 deg, rel. 7, (4 0 0)
62.52 deg, rel. 7, (2 6 2)

Atomic structure:
```
data_Na2ZrTeSe2
_chemical_formula_sum 'Na8 Zr4 Te4 Se8'
_space_group_name_H-M_alt 'C 1 2/m 1'
_space_group_IT_number 12
_cell_length_a 7.0839
_cell_length_b 12.5549
_cell_length_c 7.4921
_cell_angle_alpha 90.00
_cell_angle_beta 109.16
_cell_angle_gamma 90.00
loop_
_space_group_symop_operation_xyz
'x,y,z'
'-x,-y,-z'
'-x,y,-z'
'x,-y,z'
'x+1/2,y+1/2,z'
'-x+1/2,-y+1/2,-z'
'-x+1/2,y+1/2,-z'
'x+1/2,-y+1/2,z'
loop_
_atom_site_label
_atom_site_type_symbol
_atom_site_fract_x
_atom_site_fract_y
_atom_site_fract_z
Na1 Na 0.0000 0.0000 0.0000
Na2 Na 0.0000 0.1661 0.5000
Na3 Na 0.0000 0.5000 0.5000
Zr1 Zr 0.0000 0.3175 0.0000
Te1 Te 0.2219 0.5000 0.2288
Se1 Se 0.2408 0.3197 0.7780
```

***

No. 7
For InAg3Te4Mo, a crystal structure in OQMD, relaxed with GGA-PBE gives the simulated powder diffraction line list in this record (Cu Kα, 1.54184 Å).

Peak list (12 most intense, 2θ = 10–90°, by angle)
13.28 deg, rel. 15, (1 0 0)
18.82 deg, rel. 7, (1 1 0)
23.11 deg, rel. 86, (1 1 1)
32.91 deg, rel. 7, (2 1 1)
38.18 deg, rel. 100, (2 2 0)
45.10 deg, rel. 40, (3 1 1)
55.10 deg, rel. 16, (4 0 0)
60.53 deg, rel. 15, (3 3 1)
69.01 deg, rel. 30, (4 2 2)
73.86 deg, rel. 10, (3 3 3)
81.71 deg, rel. 9, (4 4 0)
86.33 deg, rel. 10, (5 3 1)

Atomic structure:
```
data_InAg3Te4Mo
_chemical_formula_sum 'In1 Ag3 Te4 Mo1'
_space_group_name_H-M_alt 'P -4 3 m'
_space_group_IT_number 215
_space_group_name_Hall 'P -4 2 3'
_cell_length_a 6.6670
_cell_length_b 6.6670
_cell_length_c 6.6670
_cell_angle_alpha 90.00
_cell_angle_beta 90.00
_cell_angle_gamma 90.00
loop_
_atom_site_label
_atom_site_type_symbol
_atom_site_fract_x
_atom_site_fract_y
_atom_site_fract_z
In1 In 0.0000 0.0000 0.0000
Ag1 Ag 0.0000 0.5000 0.5000
Te1 Te 0.2691 0.2691 0.2691
Mo1 Mo 0.5000 0.5000 0.5000
```

***

No. 8
For Sr2P2PtAu, a crystal structure in OQMD, relaxed with GGA-PBE gives the simulated powder diffraction line list in this record (Cu Kα, 1.54184 Å).

Peak list (12 most intense, 2θ = 10–90°, by angle)
19.98 deg, rel. 24, (0 0 2)
26.31 deg, rel. 78, (1 0 1)
31.65 deg, rel. 100, (1 0 2)
39.10 deg, rel. 29, (1 0 3)
40.60 deg, rel. 20, (0 0 4)
42.74 deg, rel. 53, (1 1 0)
47.60 deg, rel. 15, (1 1 2)
50.89 deg, rel. 14, (2 0 1)
54.15 deg, rel. 22, (2 0 2)
60.41 deg, rel. 38, (1 1 4)
68.57 deg, rel. 11, (2 1 1)
71.33 deg, rel. 19, (2 1 2)

Atomic structure:
```
data_Sr2P2PtAu
_chemical_formula_sum 'Sr2 P2 Pt1 Au1'
_space_group_name_H-M_alt 'P -6 m 2'
_space_group_IT_number 187
_space_group_name_Hall 'P -6 2'
_cell_length_a 4.2312
_cell_length_b 4.2312
_cell_length_c 8.8890
_cell_angle_alpha 90.00
_cell_angle_beta 90.00
_cell_angle_gamma 120.00
loop_
_atom_site_label
_atom_site_type_symbol
_atom_site_fract_x
_atom_site_fract_y
_atom_site_fract_z
Sr1 Sr 0.0000 0.0000 0.2411
P1 P 0.3333 0.6667 0.0000
P2 P 0.6667 0.3333 0.5000
Pt1 Pt 0.6667 0.3333 0.0000
Au1 Au 0.3333 0.6667 0.5000
```